Starting from a crystal structure in the Materials Project, relaxed with GGA-PBE, the XRD peak list of K2ZnN4 was calculated for CuKα.
Intensities are scaled so that the largest is 100.

Cell and atoms:
```
data_K2ZnN4
_symmetry_space_group_name_H-M 'P -1'
_symmetry_Int_Tables_number 2
_cell_length_a 7.0005
_cell_length_b 7.1417
_cell_length_c 8.1857
_cell_angle_alpha 72.63
_cell_angle_beta 70.30
_cell_angle_gamma 61.77
loop_
_symmetry_equiv_pos_as_xyz
'x,y,z'
'-x,-y,-z'
loop_
_atom_site_label
_atom_site_fract_x
_atom_site_fract_y
_atom_site_fract_z
K1 0.1926 0.2800 0.1602
K2 0.2129 0.1676 0.6617
Zn1 0.3968 0.7103 0.2433
N1 0.2340 0.5333 0.3387
N2 0.2841 0.4590 0.8106
N3 0.3112 0.8953 0.0243
N4 0.3327 0.9030 0.3974
```

Main lines, low angle first (15 to 90 degrees two-theta):
16.56°, rel. 52, hkl 1 0 1
16.87°, rel. 81, hkl 0 1 1
19.94°, rel. 100, hkl 0 1 -1
22.87°, rel. 56, hkl 1 1 2
23.42°, rel. 96, hkl 0 0 2
25.20°, rel. 90, hkl 1 2 1
27.14°, rel. 92, hkl 2 1 0
29.18°, rel. 59, hkl 2 1 2
29.32°, rel. 53, hkl 1 2 2
29.56°, rel. 57, hkl 0 1 -2

Starting from a crystal structure in the Materials Project, relaxed with GGA-PBE, the XRD peak list of KNa2 was calculated for CuKα.
Intensities are scaled so that the largest is 100.

Cell and atoms:
```
data_KNa2
_symmetry_space_group_name_H-M 'P 63/m m c'
_symmetry_Int_Tables_number 194
_symmetry_space_group_name_Hall '-P 6c 2c'
_cell_length_a 7.4468
_cell_length_b 7.4468
_cell_length_c 12.2216
_cell_angle_alpha 90.00
_cell_angle_beta 90.00
_cell_angle_gamma 120.00
loop_
_atom_site_label
_atom_site_fract_x
_atom_site_fract_y
_atom_site_fract_z
K1 0.3333 0.6667 0.0626
Na1 0.0000 0.0000 0.0000
Na2 0.1671 0.3342 0.7500
```

Main lines, low angle first (15 to 90 degrees two-theta):
23.90°, rel. 45, hkl 1 1 0
25.87°, rel. 83, hkl 1 0 3
27.66°, rel. 13, hkl 2 0 0
28.06°, rel. 100, hkl 1 1 2
28.63°, rel. 68, hkl 2 0 1
43.25°, rel. 36, hkl 2 1 3
44.69°, rel. 25, hkl 3 0 2
46.63°, rel. 32, hkl 2 0 5
48.92°, rel. 27, hkl 2 2 0
56.16°, rel. 15, hkl 3 1 3

Starting from a crystal structure in the Materials Project, relaxed with GGA-PBE, the XRD peak list of KNaNdNbO5 was calculated for CuKα.
Intensities are scaled so that the largest is 100.

Cell and atoms:
```
data_KNaNdNbO5
_symmetry_space_group_name_H-M 'P 4/n m m'
_symmetry_Int_Tables_number 129
_cell_length_a 5.7887
_cell_length_b 5.7887
_cell_length_c 8.3876
_cell_angle_alpha 90.00
_cell_angle_beta 90.00
_cell_angle_gamma 90.00
loop_
_symmetry_equiv_pos_as_xyz
'x,y,z'
'-x,-y,-z'
'-y+1/2,x,z'
'y+1/2,-x,-z'
'-x+1/2,-y+1/2,z'
'x+1/2,y+1/2,-z'
'y,-x+1/2,z'
'-y,x+1/2,-z'
'x+1/2,-y,-z'
'-x+1/2,y,z'
'-y,-x,-z'
'y,x,z'
'-x,y+1/2,-z'
'x,-y+1/2,z'
'y+1/2,x+1/2,-z'
'-y+1/2,-x+1/2,z'
loop_
_atom_site_label
_atom_site_fract_x
_atom_site_fract_y
_atom_site_fract_z
K1 0.2500 0.7500 0.0000
Na1 0.2500 0.2500 0.2412
Nd1 0.2500 0.7500 0.5000
Nb1 0.2500 0.2500 0.7425
O1 0.0192 0.0192 0.6699
O2 0.2500 0.2500 0.9656
```

Main lines, low angle first (15 to 90 degrees two-theta):
18.62°, rel. 28, hkl 1 0 1
24.19°, rel. 29, hkl 1 1 1
30.52°, rel. 100, hkl 1 1 2
30.89°, rel. 38, hkl 2 0 0
44.26°, rel. 30, hkl 2 2 0
54.00°, rel. 26, hkl 2 0 4
54.71°, rel. 38, hkl 3 1 2
63.52°, rel. 12, hkl 2 2 4
88.84°, rel. 12, hkl 4 2 4
89.42°, rel. 11, hkl 5 1 2

Copy entry 3 word for word.
Starting from a crystal structure in the Materials Project, relaxed with GGA-PBE, the XRD peak list of KNaNdNbO5 was calculated for CuKα.
Intensities are scaled so that the largest is 100.

Cell and atoms:
```
data_KNaNdNbO5
_symmetry_space_group_name_H-M 'P 4/n m m'
_symmetry_Int_Tables_number 129
_cell_length_a 5.7887
_cell_length_b 5.7887
_cell_length_c 8.3876
_cell_angle_alpha 90.00
_cell_angle_beta 90.00
_cell_angle_gamma 90.00
loop_
_symmetry_equiv_pos_as_xyz
'x,y,z'
'-x,-y,-z'
'-y+1/2,x,z'
'y+1/2,-x,-z'
'-x+1/2,-y+1/2,z'
'x+1/2,y+1/2,-z'
'y,-x+1/2,z'
'-y,x+1/2,-z'
'x+1/2,-y,-z'
'-x+1/2,y,z'
'-y,-x,-z'
'y,x,z'
'-x,y+1/2,-z'
'x,-y+1/2,z'
'y+1/2,x+1/2,-z'
'-y+1/2,-x+1/2,z'
loop_
_atom_site_label
_atom_site_fract_x
_atom_site_fract_y
_atom_site_fract_z
K1 0.2500 0.7500 0.0000
Na1 0.2500 0.2500 0.2412
Nd1 0.2500 0.7500 0.5000
Nb1 0.2500 0.2500 0.7425
O1 0.0192 0.0192 0.6699
O2 0.2500 0.2500 0.9656
```

Main lines, low angle first (15 to 90 degrees two-theta):
18.62°, rel. 28, hkl 1 0 1
24.19°, rel. 29, hkl 1 1 1
30.52°, rel. 100, hkl 1 1 2
30.89°, rel. 38, hkl 2 0 0
44.26°, rel. 30, hkl 2 2 0
54.00°, rel. 26, hkl 2 0 4
54.71°, rel. 38, hkl 3 1 2
63.52°, rel. 12, hkl 2 2 4
88.84°, rel. 12, hkl 4 2 4
89.42°, rel. 11, hkl 5 1 2